No. 1
# CsGaIr
Calculated powder diffraction line list, CuKα. Input: the GGA-PBE geometry in Alexandria.
Peak positions follow from Bragg's law for the DFT cell and can differ from measured ones.

The 10 most intense peaks (2θ from 10° to 90°), in order of rising 2θ:
2θ 15.61, d = 5.675 Å, intensity 431, (0 0 2); 2θ 20.71, d = 4.289 Å, intensity 478, (0 1 1); 2θ 23.53, d = 3.781 Å, intensity 1000, (0 0 3); 2θ 27.22, d = 3.277 Å, intensity 499, (1 1 2); 2θ 27.50, d = 3.244 Å, intensity 477, (1 1 -2); 2θ 31.53, d = 2.838 Å, intensity 627, (0 0 4); 2θ 35.55, d = 2.525 Å, intensity 492, (1 -1 2); 2θ 38.89, d = 2.316 Å, intensity 471, (0 2 0); 2θ 39.40, d = 2.287 Å, intensity 453, (2 0 0); 2θ 39.72, d = 2.269 Å, intensity 415, (0 2 1)

a b c (Å): 4.850 4.911 11.351
angles (deg): 89.58 89.42 70.59
Fractional positions:
Cs (0.000, 0.000, 0.000)
Cs (0.488, 0.493, 0.529)
Ga (0.496, 0.499, 0.223)
Ga (0.995, 0.998, 0.305)
Ir (0.496, 0.999, 0.253)
Ir (0.995, 0.498, 0.276)

No. 2
# BaZnCd
Calculated powder diffraction line list, CuKα. Input: the GGA-PBE geometry in Alexandria.
Peak positions follow from Bragg's law for the DFT cell and can differ from measured ones.

The 10 most intense peaks (2θ from 10° to 90°), in order of rising 2θ:
2θ 25.24, d = 3.528 Å, intensity 529, (0 1 2); 2θ 27.82, d = 3.207 Å, intensity 414, (0 2 1); 2θ 29.43, d = 3.035 Å, intensity 729, (1 2 -1); 2θ 30.24, d = 2.955 Å, intensity 542, (2 0 0); 2θ 31.38, d = 2.851 Å, intensity 224, (1 0 2); 2θ 31.71, d = 2.822 Å, intensity 611, (2 1 -2); 2θ 32.49, d = 2.756 Å, intensity 608, (1 1 -3); 2θ 33.93, d = 2.642 Å, intensity 1000, (1 2 1); 2θ 42.29, d = 2.137 Å, intensity 271, (1 1 -4); 2θ 52.52, d = 1.742 Å, intensity 219, (0 4 0)

a b c (Å): 6.509 6.971 9.010
angles (deg): 90.00 114.76 90.00
Fractional positions:
Ba (0.212, 0.148, 0.381)
Ba (0.212, 0.352, 0.881)
Ba (0.788, 0.648, 0.119)
Ba (0.788, 0.852, 0.619)
Zn (0.378, 0.604, 0.283)
Zn (0.378, 0.896, 0.783)
Zn (0.622, 0.104, 0.217)
Zn (0.622, 0.396, 0.717)
Cd (0.235, 0.625, 0.539)
Cd (0.235, 0.875, 0.039)
Cd (0.765, 0.125, 0.961)
Cd (0.765, 0.375, 0.461)

No. 3
# Tb4Pm7Pr2
Calculated powder diffraction line list, CuKα. Input: the GGA-PBE geometry in Alexandria.
Peak positions follow from Bragg's law for the DFT cell and can differ from measured ones.

The 10 most intense peaks (2θ from 10° to 90°), in order of rising 2θ:
2θ 30.13, d = 2.966 Å, intensity 1000, (2 1 0); 2θ 34.94, d = 2.568 Å, intensity 507, (1 3 2); 2θ 50.19, d = 1.818 Å, intensity 121, (1 -1 4); 2θ 50.26, d = 1.815 Å, intensity 241, (3 2 3); 2θ 59.69, d = 1.549 Å, intensity 360, (3 4 2); 2θ 59.77, d = 1.547 Å, intensity 72, (4 0 1); 2θ 62.68, d = 1.482 Å, intensity 93, (4 2 0); 2θ 81.65, d = 1.179 Å, intensity 88, (2 0 7); 2θ 81.76, d = 1.178 Å, intensity 59, (4 3 6); 2θ 84.27, d = 1.149 Å, intensity 110, (3 6 1)

a b c (Å): 6.282 8.129 9.612
angles (deg): 65.04 83.74 82.61
Fractional positions:
Tb (0.037, 0.423, 0.348)
Tb (0.193, 0.117, 0.728)
Tb (0.807, 0.883, 0.272)
Tb (0.963, 0.577, 0.652)
Pm (0.114, 0.270, 0.039)
Pm (0.268, 0.962, 0.423)
Pm (0.424, 0.655, 0.806)
Pm (0.500, 0.500, 0.500)
Pm (0.576, 0.345, 0.194)
Pm (0.732, 0.038, 0.577)
Pm (0.886, 0.730, 0.961)
Pr (0.344, 0.807, 0.116)
Pr (0.656, 0.193, 0.884)